# 1
Calculated powder X-ray diffraction pattern
Compound: Ba4CoRe2O12
Radiation: copper Kα
Structure: a crystal structure in the Materials Project, relaxed with PBE+U

Top 10 peaks for 5° ≤ 2θ ≤ 70°, sorted by position:
- 4.940 Å, intensity 14
- 4.706 Å, intensity 11
- 4.089 Å, intensity 14
- 3.143 Å, intensity 100
- 2.897 Å, intensity 93
- 2.130 Å, intensity 51
- 1.871 Å, intensity 13
- 1.716 Å, intensity 34
- 1.672 Å, intensity 19
- 1.448 Å, intensity 17

Lattice parameters (Å, degrees): 9.9846 9.9846 9.9846 33.73 33.73 33.73
Positions (direct):
Ba  0.1301  0.1301  0.1301
Ba  0.2920  0.2920  0.2920
Ba  0.7080  0.7080  0.7080
Ba  0.8699  0.8699  0.8699
Co  0.0000  0.0000  0.0000
Re  0.4191  0.4191  0.4191
Re  0.5809  0.5809  0.5809
O  0.1419  0.6104  0.6104
O  0.2197  0.2197  0.6919
O  0.2197  0.6919  0.2197
O  0.3081  0.7803  0.7803
O  0.3896  0.3896  0.8581
O  0.3896  0.8581  0.3896
O  0.6104  0.1419  0.6104
O  0.6104  0.6104  0.1419
O  0.6919  0.2197  0.2197
O  0.7803  0.3081  0.7803
O  0.7803  0.7803  0.3081
O  0.8581  0.3896  0.3896

---

# 2
Calculated powder X-ray diffraction pattern
Compound: Ba2CoReO6
Radiation: copper Kα
Structure: a crystal structure in the Materials Project, relaxed with PBE+U

Top 10 peaks for 5° ≤ 2θ ≤ 70°, sorted by position:
- 4.731 Å, intensity 16
- 2.897 Å, intensity 100
- 2.471 Å, intensity 8
- 2.365 Å, intensity 2
- 2.048 Å, intensity 29
- 1.880 Å, intensity 3
- 1.673 Å, intensity 40
- 1.577 Å, intensity 3
- 1.448 Å, intensity 18
- 1.385 Å, intensity 3

Lattice parameters (Å, degrees): 5.7918 5.7918 5.7933 119.98 119.98 60.06
Positions (direct):
Ba  0.2497  0.2497  0.2488
Ba  0.7503  0.7503  0.7512
Co  0.5000  0.5000  0.0000
Re  0.0000  0.0000  0.5000
O  0.2375  0.7617  0.7370
O  0.2377  0.2377  0.7367
O  0.2383  0.7625  0.2630
O  0.7617  0.2375  0.7370
O  0.7623  0.7623  0.2633
O  0.7625  0.2383  0.2630